Structure and computed XRD peak list of CeO3 (a DFT-relaxed cell (GGA-PBE, the Materials Project); Cu Ka).
No peak broadening, texture or thermal motion is included.

Structure:
a b c (Å): 6.065 6.065 3.641
angles (deg): 90.00 90.00 120.00
Element x y z (fractional)
Ce 0.333 0.667 0.250
Ce 0.667 0.333 0.750
O 0.087 0.410 0.750
O 0.324 0.913 0.750
O 0.410 0.324 0.250
O 0.590 0.676 0.750
O 0.676 0.087 0.250
O 0.913 0.590 0.250

Main lines, in order of rising 2θ (10 to 90 degrees two-theta):
| 2θ (°) | I_rel |
| --- | --- |
| 16.88 | 100 |
| 29.46 | 63 |
| 29.86 | 92 |
| 42.44 | 59 |
| 52.25 | 20 |
| 52.50 | 59 |
| 59.19 | 19 |
| 69.50 | 17 |

Structure and computed XRD peak list of MgMnCoS4 (a DFT-relaxed cell (GGA-PBE, the Materials Project); Cu Ka).
No peak broadening, texture or thermal motion is included.

Structure:
a b c (Å): 6.998 6.998 6.968
angles (deg): 119.71 119.71 60.66
Element x y z (fractional)
Mg 0.126 0.126 0.376
Mg 0.874 0.874 0.624
Mn 0.500 0.500 0.000
Mn 0.500 0.500 0.500
Co 0.000 0.500 0.000
Co 0.500 0.000 0.000
S 0.259 0.702 0.230
S 0.265 0.265 0.226
S 0.265 0.265 0.803
S 0.298 0.741 0.770
S 0.702 0.259 0.230
S 0.735 0.735 0.197
S 0.735 0.735 0.774
S 0.741 0.298 0.770

Main lines, in order of rising 2θ (10 to 90 degrees two-theta):
| 2θ (°) | I_rel |
| --- | --- |
| 15.41 | 64 |
| 15.56 | 90 |
| 29.94 | 44 |
| 36.21 | 100 |
| 36.33 | 49 |
| 47.75 | 53 |
| 52.17 | 45 |
| 52.30 | 45 |

Structure and computed XRD peak list of K3HoCl6 (a DFT-relaxed cell (GGA-PBE, the Materials Project); Cu Ka).
No peak broadening, texture or thermal motion is included.

Structure:
a b c (Å): 7.891 7.891 7.891
angles (deg): 60.00 60.00 60.00
Element x y z (fractional)
K 0.000 0.000 0.000
K 0.250 0.250 0.250
K 0.750 0.750 0.750
Ho 0.500 0.500 0.500
Cl 0.265 0.265 0.735
Cl 0.265 0.735 0.265
Cl 0.265 0.735 0.735
Cl 0.735 0.265 0.265
Cl 0.735 0.265 0.735
Cl 0.735 0.735 0.265

Main lines, in order of rising 2θ (10 to 90 degrees two-theta):
| 2θ (°) | I_rel |
| --- | --- |
| 13.74 | 81 |
| 15.88 | 88 |
| 22.53 | 92 |
| 26.49 | 34 |
| 32.08 | 100 |
| 35.99 | 42 |
| 39.56 | 40 |
| 46.01 | 66 |

Structure and computed XRD peak list of PmRh3 (a DFT-relaxed cell (GGA-PBE, the Materials Project); Cu Ka).
No peak broadening, texture or thermal motion is included.

Structure:
a b c (Å): 5.932 5.932 4.642
angles (deg): 90.00 90.00 120.00
Element x y z (fractional)
Pm 0.333 0.667 0.250
Pm 0.667 0.333 0.750
Rh 0.154 0.309 0.750
Rh 0.154 0.846 0.750
Rh 0.309 0.154 0.250
Rh 0.691 0.846 0.750
Rh 0.846 0.154 0.250
Rh 0.846 0.691 0.250

Main lines, in order of rising 2θ (10 to 90 degrees two-theta):
| 2θ (°) | I_rel |
| --- | --- |
| 34.93 | 24 |
| 38.80 | 25 |
| 40.12 | 100 |
| 53.19 | 14 |
| 62.64 | 17 |
| 71.13 | 18 |
| 76.18 | 18 |
| 77.04 | 13 |

Structure and computed XRD peak list of Sr4Bi3 (a DFT-relaxed cell (GGA-PBE, the Materials Project); Cu Ka).
No peak broadening, texture or thermal motion is included.

Structure:
a b c (Å): 8.855 8.855 8.855
angles (deg): 109.47 109.47 109.47
Element x y z (fractional)
Sr 0.000 0.146 0.500
Sr 0.000 0.646 0.500
Sr 0.146 0.500 0.000
Sr 0.354 0.354 0.354
Sr 0.500 0.000 0.146
Sr 0.500 0.000 0.646
Sr 0.646 0.500 0.000
Sr 0.854 0.854 0.854
Bi 0.125 0.875 0.250
Bi 0.250 0.125 0.875
Bi 0.375 0.625 0.750
Bi 0.625 0.750 0.375
Bi 0.750 0.375 0.625
Bi 0.875 0.250 0.125

Main lines, in order of rising 2θ (10 to 90 degrees two-theta):
| 2θ (°) | I_rel |
| --- | --- |
| 21.29 | 44 |
| 27.59 | 100 |
| 32.77 | 65 |
| 39.41 | 31 |
| 41.42 | 21 |
| 45.22 | 24 |
| 55.39 | 38 |
| 67.29 | 26 |

Structure and computed XRD peak list of Pr2B5 (a DFT-relaxed cell (GGA-PBE, the Materials Project); Cu Ka).
No peak broadening, texture or thermal motion is included.

Structure:
a b c (Å): 8.489 8.489 7.361
angles (deg): 107.50 107.50 51.21
Element x y z (fractional)
Pr 0.056 0.181 0.222
Pr 0.181 0.056 0.722
Pr 0.310 0.452 0.404
Pr 0.452 0.310 0.904
Pr 0.548 0.690 0.096
Pr 0.690 0.548 0.596
Pr 0.819 0.944 0.278
Pr 0.944 0.819 0.778
B 0.041 0.461 0.830
B 0.089 0.590 0.062
B 0.093 0.408 0.593
B 0.171 0.329 0.040
B 0.203 0.711 0.150
B 0.289 0.797 0.350
B 0.329 0.171 0.540
B 0.408 0.093 0.093
B 0.410 0.911 0.438
B 0.461 0.041 0.330
B 0.539 0.959 0.670
B 0.590 0.089 0.562
B 0.592 0.907 0.907
B 0.671 0.829 0.460
B 0.711 0.203 0.650
B 0.797 0.289 0.850
B 0.829 0.671 0.960
B 0.907 0.592 0.407
B 0.911 0.410 0.938
B 0.959 0.539 0.170

Main lines, in order of rising 2θ (10 to 90 degrees two-theta):
| 2θ (°) | I_rel |
| --- | --- |
| 24.26 | 44 |
| 24.48 | 36 |
| 24.67 | 100 |
| 27.21 | 70 |
| 27.50 | 56 |
| 34.17 | 44 |
| 34.88 | 47 |
| 35.34 | 44 |